SrPmAs2Pt4: theoretical X-ray diffraction stick pattern (copper Kα), based on DFT lattice parameters and positions (GGA-PBE).
Kinematic intensities with the Lorentz-polarization factor, no thermal factor.

Structure:
```
SrPmAs2Pt4
1.0
4.1287 0.0000 0.0000
0.0000 4.1287 0.0000
0.0000 0.0000 10.3494
Sr Pm As Pt
1 1 2 4
Cartesian
0.0000 0.0000 0.0000
0.0000 0.0000 5.1747
2.0644 2.0644 1.5967
2.0644 2.0644 8.7527
0.0000 2.0644 2.9854
0.0000 2.0644 7.3640
2.0644 0.0000 2.9854
2.0644 0.0000 7.3640
```

Largest 10 diffraction maxima, low angle first, 2θ = 10–90°:
- 2θ 17.1, intensity 49
- 2θ 27.6, intensity 22
- 2θ 35.3, intensity 100
- 2θ 40.5, intensity 48
- 2θ 43.9, intensity 50
- 2θ 47.4, intensity 15
- 2θ 54.3, intensity 18
- 2θ 63.7, intensity 31
- 2θ 75.0, intensity 23
- 2θ 78.3, intensity 14



Rb2NiHS2: theoretical X-ray diffraction stick pattern (copper Kα), based on DFT lattice parameters and positions (GGA-PBE).
Kinematic intensities with the Lorentz-polarization factor, no thermal factor.

Structure:
```
Rb2NiHS2
1.0
-4.7959 5.9869 3.3230
4.7959 -5.9869 3.3230
4.7959 5.9869 -3.3230
Rb Ni H S
4 2 2 4
Cartesian
1.5895 1.4883 0.0000
1.5895 -1.4883 3.3230
3.2064 7.4753 0.0000
3.2064 4.4986 3.3230
4.7959 0.0000 1.6615
0.0000 5.9869 1.6615
0.0000 0.0000 1.6615
0.0000 0.0000 4.9845
4.9335 1.4241 0.0000
0.1376 4.5628 0.0000
4.6583 1.4241 3.3230
-0.1376 4.5628 3.3230
```

Largest 10 diffraction maxima, low angle first, 2θ = 10–90°:
- 2θ 11.8, intensity 31
- 2θ 14.8, intensity 17
- 2θ 22.0, intensity 100
- 2θ 24.1, intensity 65
- 2θ 26.8, intensity 23
- 2θ 28.9, intensity 68
- 2θ 32.1, intensity 26
- 2θ 40.6, intensity 47
- 2θ 45.5, intensity 35
- 2θ 55.3, intensity 30



NaAg4Pd3: theoretical X-ray diffraction stick pattern (copper Kα), based on DFT lattice parameters and positions (GGA-PBE).
Kinematic intensities with the Lorentz-polarization factor, no thermal factor.

Structure:
```
NaAg4Pd3
1.0
8.2443 0.0000 0.0000
0.0000 5.7668 0.0000
0.0000 0.0000 5.7512
Na Ag Pd
2 8 6
Cartesian
0.0000 0.0000 0.0000
4.1222 0.0000 2.8756
0.0000 0.0000 2.8756
0.0000 2.8834 0.0000
2.0611 1.4699 1.4378
2.0611 4.2969 4.3134
4.1222 0.0000 0.0000
4.1222 2.8834 2.8756
6.1832 1.4699 1.4378
6.1832 4.2969 4.3134
0.0000 2.8834 2.8756
2.0611 1.4771 4.3134
2.0611 4.2897 1.4378
4.1222 2.8834 0.0000
6.1832 1.4771 4.3134
6.1832 4.2897 1.4378
```

Largest 10 diffraction maxima, low angle first, 2θ = 10–90°:
- 2θ 38.1, intensity 100
- 2θ 43.9, intensity 17
- 2θ 44.5, intensity 32
- 2θ 64.3, intensity 20
- 2θ 64.8, intensity 5
- 2θ 76.9, intensity 12
- 2θ 77.6, intensity 12
- 2θ 77.8, intensity 12
- 2θ 81.5, intensity 5
- 2θ 81.7, intensity 5



CeSc3In4: theoretical X-ray diffraction stick pattern (copper Kα), based on DFT lattice parameters and positions (GGA-PBE).
Kinematic intensities with the Lorentz-polarization factor, no thermal factor.

Structure:
```
CeSc3In4
1.0
10.3745 0.0000 0.0000
0.0000 6.9394 0.0000
0.0000 0.0000 5.3780
Ce Sc In
2 6 8
Cartesian
0.0000 0.0000 0.0000
5.1873 0.0000 0.0000
0.0000 3.4697 0.0000
2.5936 0.0000 2.1890
2.5936 3.4697 2.0643
5.1873 3.4697 0.0000
7.7809 0.0000 3.1889
7.7809 3.4697 3.3136
0.0000 1.8604 2.6890
0.0000 5.0789 2.6890
2.5936 1.8523 4.7834
2.5936 5.0870 4.7834
5.1873 1.8604 2.6890
5.1873 5.0789 2.6890
7.7809 1.8523 0.5946
7.7809 5.0870 0.5946
```

Largest 10 diffraction maxima, low angle first, 2θ = 10–90°:
- 2θ 31.9, intensity 12
- 2θ 33.3, intensity 16
- 2θ 34.5, intensity 12
- 2θ 34.6, intensity 34
- 2θ 35.3, intensity 100
- 2θ 37.7, intensity 12
- 2θ 48.8, intensity 10
- 2θ 62.4, intensity 18
- 2θ 64.6, intensity 13
- 2θ 69.2, intensity 10



PuSnAuN: theoretical X-ray diffraction stick pattern (copper Kα), based on DFT lattice parameters and positions (GGA-PBE).
Kinematic intensities with the Lorentz-polarization factor, no thermal factor.

Structure:
```
PuSnAuN
1.0
-1.6045 1.6045 7.6418
1.6045 -1.6045 7.6418
1.6045 1.6045 -7.6418
Pu Sn Au N
1 1 1 1
Cartesian
0.0000 0.0000 0.0000
0.0000 0.0000 10.6719
0.0000 0.0000 5.2756
0.0000 0.0000 8.3575
```

Largest 10 diffraction maxima, low angle first, 2θ = 10–90°:
- 2θ 11.6, intensity 16
- 2θ 33.0, intensity 100
- 2θ 35.2, intensity 19
- 2θ 39.7, intensity 35
- 2θ 40.8, intensity 10
- 2θ 54.1, intensity 23
- 2θ 57.4, intensity 12
- 2θ 61.8, intensity 12
- 2θ 67.8, intensity 26
- 2θ 69.2, intensity 11



CsNaN4: theoretical X-ray diffraction stick pattern (copper Kα), based on DFT lattice parameters and positions (GGA-PBE).
Kinematic intensities with the Lorentz-polarization factor, no thermal factor.

Structure:
```
CsNaN4
1.0
-3.1063 3.1063 6.2597
3.1063 -3.1063 6.2597
3.1063 3.1063 -6.2597
Cs Na N
2 2 8
Cartesian
3.1063 1.5532 1.5649
0.0000 1.5532 4.6948
3.1063 -1.5532 4.6948
0.0000 4.6595 1.5649
2.5151 1.5532 -1.7399
3.6976 1.5532 -1.7399
0.0000 0.9619 1.3900
0.0000 2.1444 1.3900
3.1063 0.9619 4.8697
3.1063 2.1444 4.8697
-0.5912 1.5532 7.9996
0.5912 1.5532 7.9996
```

Largest 10 diffraction maxima, low angle first, 2θ = 10–90°:
- 2θ 15.9, intensity 97
- 2θ 24.8, intensity 87
- 2θ 25.7, intensity 46
- 2θ 28.5, intensity 59
- 2θ 28.7, intensity 100
- 2θ 33.0, intensity 48
- 2θ 38.9, intensity 36
- 2θ 40.9, intensity 70
- 2θ 48.6, intensity 47
- 2θ 50.8, intensity 31



Zr3Sc8: theoretical X-ray diffraction stick pattern (copper Kα), based on DFT lattice parameters and positions (GGA-PBE).
Kinematic intensities with the Lorentz-polarization factor, no thermal factor.

Structure:
```
Zr3Sc8
1.0
4.5049 2.6009 3.9740
-4.5049 2.6009 3.9740
0.0000 -5.2018 3.9740
Zr Sc
3 8
Cartesian
-2.2524 -1.3004 3.9740
-2.2524 1.3004 7.9479
0.0000 2.6009 3.9740
-2.6137 -2.3762 6.6114
-3.3647 1.0754 5.3105
0.7510 -3.4516 5.3105
0.0000 0.0000 4.4886
0.0000 0.0000 7.4333
-0.7510 3.4516 6.6114
3.3647 -1.0754 6.6114
2.6137 2.3762 5.3105
```

Largest 10 diffraction maxima, low angle first, 2θ = 10–90°:
- 2θ 24.0, intensity 43
- 2θ 27.3, intensity 34
- 2θ 31.2, intensity 100
- 2θ 32.1, intensity 49
- 2θ 33.9, intensity 32
- 2θ 38.0, intensity 24
- 2θ 40.0, intensity 22
- 2θ 44.5, intensity 46
- 2θ 46.3, intensity 57
- 2θ 65.2, intensity 18



LiTeH5O6: theoretical X-ray diffraction stick pattern (copper Kα), based on DFT lattice parameters and positions (GGA-PBE).
Kinematic intensities with the Lorentz-polarization factor, no thermal factor.

Structure:
```
LiTeH5O6
1.0
7.7213 0.0000 0.0000
0.0000 7.6146 0.0000
-7.7220 0.0000 7.7242
Li Te H O
4 4 20 24
Cartesian
0.0000 0.0264 0.0000
-3.8610 7.5882 3.8621
3.9722 3.7743 0.1738
0.1112 3.8403 4.0359
-3.7403 3.7800 3.8075
-7.6013 3.8346 7.6696
4.0962 0.0605 0.0351
0.2352 7.5541 3.8972
-4.2040 2.0143 5.5662
-0.3430 5.6004 1.7041
-5.3794 1.8188 7.2630
-1.5184 5.7959 3.4009
-1.8661 2.1644 3.8674
1.9949 5.4502 0.0054
0.0777 1.6129 2.0824
-3.7833 6.0017 5.9445
1.6561 3.2973 1.8502
-2.2050 4.3173 5.7123
-1.6726 0.5000 5.4180
2.1884 7.1146 1.5559
3.9675 1.6859 1.9104
0.1065 5.9287 5.7725
6.0226 2.1485 0.0348
2.1616 5.4661 3.8969
1.8221 1.8167 4.4051
5.6832 5.7979 0.5431
0.6606 1.9672 6.0853
4.5216 5.6475 2.2232
-6.9905 2.0292 7.0954
-3.1295 5.5854 3.2333
-4.2933 2.0227 4.5566
-0.4323 5.5919 0.6945
-1.8885 3.1421 3.6390
-5.7495 4.4725 7.5011
-0.1752 0.6431 2.1143
-4.0362 6.9715 5.9764
0.6509 3.2460 1.7804
-3.2101 4.3686 5.6425
-1.6031 0.5396 4.4127
-4.3699 1.8071 7.1796
-0.5089 5.8076 3.3176
2.2579 7.0751 0.5506
0.8116 1.7581 4.4803
4.6726 5.8565 0.6182
-1.9175 0.6272 7.2310
1.9435 6.9874 3.3689
3.4640 3.2018 2.0982
-0.3970 4.4128 5.9603
4.2460 0.6969 1.8751
0.3849 6.9177 5.7372
6.0700 3.1280 0.3372
2.2090 4.4867 4.1993
```

Largest 10 diffraction maxima, low angle first, 2θ = 10–90°:
- 2θ 20.0, intensity 100
- 2θ 23.0, intensity 42
- 2θ 23.4, intensity 16
- 2θ 33.0, intensity 19
- 2θ 38.7, intensity 29
- 2θ 39.1, intensity 13
- 2θ 40.7, intensity 10
- 2θ 52.0, intensity 13
- 2θ 53.2, intensity 10
- 2θ 58.7, intensity 13



PuNpMn: theoretical X-ray diffraction stick pattern (copper Kα), based on DFT lattice parameters and positions (GGA-PBE).
Kinematic intensities with the Lorentz-polarization factor, no thermal factor.

Structure:
```
PuNpMn
1.0
4.3272 0.0000 0.0000
-2.1636 3.7475 0.0000
0.0000 0.0000 2.7836
Pu Np Mn
1 1 1
Cartesian
0.0000 0.0000 0.0000
0.0000 2.4983 2.2034
2.1636 1.2491 1.0954
```

Largest 10 diffraction maxima, low angle first, 2θ = 10–90°:
- 2θ 23.7, intensity 48
- 2θ 32.2, intensity 24
- 2θ 40.4, intensity 95
- 2θ 41.7, intensity 100
- 2θ 53.7, intensity 36
- 2θ 59.5, intensity 31
- 2θ 72.4, intensity 23
- 2θ 75.3, intensity 31
- 2θ 76.2, intensity 17
- 2θ 87.3, intensity 15



ThAl2Ni2Rh: theoretical X-ray diffraction stick pattern (copper Kα), based on DFT lattice parameters and positions (GGA-PBE).
Kinematic intensities with the Lorentz-polarization factor, no thermal factor.

Structure:
```
ThAl2Ni2Rh
1.0
4.5971 0.0000 0.0000
0.0000 4.5971 0.0000
0.0000 0.0000 5.3333
Th Al Ni Rh
1 2 2 1
Cartesian
0.0000 0.0000 0.0000
0.0000 2.2986 2.6666
2.2986 0.0000 2.6666
2.2986 2.2986 1.2567
2.2986 2.2986 4.0765
0.0000 0.0000 2.6666
```

Largest 10 diffraction maxima, low angle first, 2θ = 10–90°:
- 2θ 19.3, intensity 54
- 2θ 27.4, intensity 100
- 2θ 32.3, intensity 27
- 2θ 39.0, intensity 100
- 2θ 39.2, intensity 62
- 2θ 56.5, intensity 67
- 2θ 56.6, intensity 21
- 2θ 64.1, intensity 18
- 2θ 70.9, intensity 17
- 2θ 84.2, intensity 28



Pm2PuZn: theoretical X-ray diffraction stick pattern (copper Kα), based on DFT lattice parameters and positions (GGA-PBE).
Kinematic intensities with the Lorentz-polarization factor, no thermal factor.

Structure:
```
Pm2PuZn
1.0
3.6121 0.0000 0.0000
0.0000 3.6121 0.0000
0.0000 0.0000 8.5696
Pm Pu Zn
2 1 1
Cartesian
0.0000 0.0000 1.8229
0.0000 0.0000 6.7468
1.8061 1.8061 4.2848
1.8061 1.8061 0.0000
```

Largest 10 diffraction maxima, low angle first, 2θ = 10–90°:
- 2θ 26.8, intensity 26
- 2θ 31.3, intensity 10
- 2θ 32.4, intensity 100
- 2θ 35.1, intensity 45
- 2θ 47.8, intensity 13
- 2θ 50.5, intensity 16
- 2θ 56.0, intensity 15
- 2θ 59.7, intensity 10
- 2θ 61.3, intensity 32
- 2θ 82.0, intensity 9



Zr3CdC: theoretical X-ray diffraction stick pattern (copper Kα), based on DFT lattice parameters and positions (GGA-PBE).
Kinematic intensities with the Lorentz-polarization factor, no thermal factor.

Structure:
```
Zr3CdC
1.0
5.2859 -6.4840 0.0000
5.2859 6.4840 0.0000
-0.2187 0.0000 5.7061
Zr Cd C
12 4 4
Cartesian
1.2262 0.8750 0.5432
3.8807 4.0283 2.3266
1.1169 -0.8750 3.3963
3.7994 2.3994 5.3271
6.5816 4.0283 0.5264
6.4443 2.3994 3.2320
3.9088 -2.3994 2.4741
3.7714 -4.0283 5.1797
6.5536 -2.3994 0.3790
9.2361 0.8750 2.3098
6.4723 -4.0283 3.3794
9.1268 -0.8750 5.1628
3.7547 0.7790 2.5012
3.6453 -0.7790 5.3542
6.7077 0.7790 0.3518
6.5983 -0.7790 3.2048
5.2312 5.6480 1.4265
5.1218 3.9216 4.2795
5.2312 -3.9216 1.4265
5.1218 -5.6480 4.2795
```

Largest 10 diffraction maxima, low angle first, 2θ = 10–90°:
- 2θ 31.4, intensity 19
- 2θ 31.7, intensity 26
- 2θ 33.9, intensity 51
- 2θ 35.2, intensity 30
- 2θ 35.8, intensity 78
- 2θ 36.4, intensity 100
- 2θ 56.1, intensity 24
- 2θ 61.6, intensity 13
- 2θ 62.7, intensity 14
- 2θ 67.8, intensity 13



CePu2ScAs4: theoretical X-ray diffraction stick pattern (copper Kα), based on DFT lattice parameters and positions (GGA-PBE).
Kinematic intensities with the Lorentz-polarization factor, no thermal factor.

Structure:
```
CePu2ScAs4
1.0
7.0810 0.0000 0.0000
0.0000 4.1109 0.0000
-2.3848 0.0000 6.6797
Ce Pu Sc As
1 2 1 4
Cartesian
0.0000 0.0000 0.0000
2.3481 0.0000 3.3399
3.5405 2.0555 0.0000
-1.1924 2.0555 3.3399
-0.0547 0.0000 4.9407
1.1245 2.0555 1.7274
3.5717 2.0555 4.9524
4.7509 0.0000 1.7390
```

Largest 10 diffraction maxima, low angle first, 2θ = 10–90°:
- 2θ 13.3, intensity 19
- 2θ 25.5, intensity 16
- 2θ 30.9, intensity 100
- 2θ 44.1, intensity 13
- 2θ 44.2, intensity 50
- 2θ 44.4, intensity 12
- 2θ 54.8, intensity 13
- 2θ 55.0, intensity 13
- 2θ 64.3, intensity 12
- 2θ 73.0, intensity 22